Diffraction record for Li7Cr5O12. The powder X-ray diffraction pattern is simulated, not measured: it uses DFT lattice parameters and positions (PBE+U) and Cu Kα X-rays.

Top 12 peaks for 5 to 70 degrees two-theta, in order of falling intensity:
- d = 4.835 Å, 2θ 18.35, I 100.0
- d = 2.092 Å, 2θ 43.24, I 61.9
- d = 2.072 Å, 2θ 43.68, I 29.7
- d = 2.516 Å, 2θ 35.68, I 25.7
- d = 1.475 Å, 2θ 63.01, I 23.8
- d = 1.470 Å, 2θ 63.28, I 15.9
- d = 9.670 Å, 2θ 9.15, I 13.5
- d = 2.500 Å, 2θ 35.93, I 12.1
- d = 1.613 Å, 2θ 57.12, I 10.7
- d = 1.483 Å, 2θ 62.65, I 8.1
- d = 2.405 Å, 2θ 37.39, I 7.6
- d = 4.353 Å, 2θ 20.40, I 7.3

Structural model:
Cell lengths 5.1058, 5.1058, 9.8340 Å; angles 95.19, 95.19, 120.28 degrees
Fractional coordinates of all 24 atoms:
Li1 0.0000 0.0000 0.0000
Li2 0.0792 0.4086 0.2478
Li3 0.2486 0.2486 0.7515
Li4 0.4086 0.0792 0.2478
Li5 0.5914 0.9208 0.7522
Li6 0.7514 0.7514 0.2485
Li7 0.9208 0.5914 0.7522
Cr1 0.1669 0.8331 0.5000
Cr2 0.3354 0.6646 0.0000
Cr3 0.5000 0.5000 0.5000
Cr4 0.6646 0.3354 0.0000
Cr5 0.8331 0.1669 0.5000
O1 0.0306 0.6700 0.1123
O2 0.1257 0.1257 0.3846
O3 0.2069 0.5401 0.6131
O4 0.3300 0.9694 0.8877
O5 0.3951 0.3951 0.1112
O6 0.4599 0.7931 0.3869
O7 0.5401 0.2069 0.6131
O8 0.6049 0.6049 0.8888
O9 0.6700 0.0306 0.1123
O10 0.7931 0.4599 0.3869
O11 0.8743 0.8743 0.6154
O12 0.9694 0.3300 0.8877